Starting from a structure optimized by DFT (GGA-PBE), the X-ray powder pattern of Hf6PdRu was computed for Cu Ka.

Peak list (12 most intense, 2θ = 5–70°, most intense first)
2θ/deg, I (rel.)
36.2, 100.0
40.4, 58.2
38.0, 51.6
33.1, 28.4
62.2, 21.1
42.9, 19.4
69.4, 14.4
63.6, 12.2
57.8, 11.6
59.8, 11.5
67.6, 9.7
23.9, 8.8

Cell and atoms:
```
data_Hf6PdRu
_cell_length_a 5.435
_cell_length_b 5.436
_cell_length_c 5.437
_cell_angle_alpha 93.14
_cell_angle_beta 93.23
_cell_angle_gamma 93.25
_symmetry_space_group_name_H-M 'P 1'
_symmetry_Int_Tables_number 1
loop_
_symmetry_equiv_pos_as_xyz
'x,y,z'
loop_
_atom_site_label
_atom_site_fract_x
_atom_site_fract_y
_atom_site_fract_z
_atom_site_occupancy
Hf1 0.011 0.254 0.045 1
Hf2 0.246 0.956 0.488 1
Hf3 0.456 0.489 0.746 1
Hf4 0.544 0.511 0.254 1
Hf5 0.754 0.044 0.512 1
Hf6 0.989 0.746 0.955 1
Pd1 0.500 0.000 0.000 1
Ru1 0.000 0.500 0.500 1
```

---

Starting from a structure optimized by DFT (GGA-PBE), the X-ray powder pattern of RbNdPbSe3 was computed for Cu Ka.

Peak list (12 most intense, 2θ = 5–70°, most intense first)
2θ/deg, I (rel.)
26.4, 100.0
30.3, 66.8
31.4, 49.0
44.5, 46.1
41.9, 36.2
34.7, 31.7
11.0, 31.6
39.7, 30.7
32.9, 30.1
52.6, 28.3
33.1, 27.3
21.5, 26.5

Cell and atoms:
```
data_RbNdPbSe3
_cell_length_a 8.307
_cell_length_b 4.310
_cell_length_c 11.966
_cell_angle_alpha 90.00
_cell_angle_beta 105.29
_cell_angle_gamma 90.00
_symmetry_space_group_name_H-M 'P 1'
_symmetry_Int_Tables_number 1
loop_
_symmetry_equiv_pos_as_xyz
'x,y,z'
loop_
_atom_site_label
_atom_site_fract_x
_atom_site_fract_y
_atom_site_fract_z
_atom_site_occupancy
Rb1 0.072 0.250 0.168 1
Rb2 0.928 0.750 0.832 1
Nd1 0.437 0.750 0.838 1
Nd2 0.563 0.250 0.162 1
Pb1 0.279 0.250 0.530 1
Pb2 0.721 0.750 0.470 1
Se1 0.143 0.750 0.632 1
Se2 0.280 0.250 0.948 1
Se3 0.416 0.750 0.281 1
Se4 0.584 0.250 0.719 1
Se5 0.720 0.750 0.052 1
Se6 0.857 0.250 0.368 1
```

---

Starting from a structure optimized by DFT (GGA-PBE), the X-ray powder pattern of KLaP4O12 was computed for Cu Ka.

Peak list (12 most intense, 2θ = 5–70°, most intense first)
2θ/deg, I (rel.)
18.7, 100.0
14.8, 68.7
16.2, 55.3
27.6, 51.2
13.1, 48.6
25.9, 31.9
29.6, 25.5
32.0, 25.2
25.8, 23.1
29.9, 22.2
26.4, 20.7
42.7, 19.2

Cell and atoms:
```
data_KLaP4O12
_cell_length_a 7.206
_cell_length_b 7.206
_cell_length_c 13.519
_cell_angle_alpha 90.00
_cell_angle_beta 90.00
_cell_angle_gamma 112.57
_symmetry_space_group_name_H-M 'P 1'
_symmetry_Int_Tables_number 1
loop_
_symmetry_equiv_pos_as_xyz
'x,y,z'
loop_
_atom_site_label
_atom_site_fract_x
_atom_site_fract_y
_atom_site_fract_z
_atom_site_occupancy
K1 0.145 0.855 0.500 1
K2 0.855 0.145 0.000 1
La1 0.425 0.575 0.899 1
La2 0.575 0.425 0.399 1
P1 0.031 0.335 0.492 1
P2 0.132 0.237 0.689 1
P3 0.237 0.132 0.189 1
P4 0.335 0.031 0.992 1
P5 0.665 0.969 0.492 1
P6 0.763 0.868 0.689 1
P7 0.868 0.763 0.189 1
P8 0.969 0.665 0.992 1
O1 0.038 0.353 0.610 1
O2 0.074 0.926 0.236 1
O3 0.088 0.545 0.956 1
O4 0.096 0.904 0.970 1
O5 0.143 0.254 0.136 1
O6 0.221 0.388 0.770 1
O7 0.236 0.382 0.449 1
O8 0.254 0.143 0.636 1
O9 0.353 0.038 0.110 1
O10 0.382 0.236 0.949 1
O11 0.388 0.221 0.270 1
O12 0.455 0.912 0.956 1
O13 0.545 0.088 0.456 1
O14 0.612 0.779 0.770 1
O15 0.618 0.764 0.449 1
O16 0.647 0.962 0.610 1
O17 0.746 0.857 0.136 1
O18 0.764 0.618 0.949 1
O19 0.779 0.612 0.270 1
O20 0.857 0.746 0.636 1
O21 0.904 0.096 0.470 1
O22 0.912 0.455 0.456 1
O23 0.926 0.074 0.736 1
O24 0.962 0.647 0.110 1
```

---

Starting from a structure optimized by DFT (GGA-PBE), the X-ray powder pattern of Ce4Zn5Pt6 was computed for Cu Ka.

Peak list (12 most intense, 2θ = 5–70°, most intense first)
2θ/deg, I (rel.)
36.1, 100.0
45.0, 68.0
32.8, 58.8
31.3, 55.3
26.4, 47.6
31.8, 47.2
49.7, 46.5
45.4, 41.6
29.5, 40.8
33.5, 35.9
35.6, 34.2
42.4, 33.3

Cell and atoms:
```
data_Ce4Zn5Pt6
_cell_length_a 10.344
_cell_length_b 10.344
_cell_length_c 15.129
_cell_angle_alpha 90.00
_cell_angle_beta 90.00
_cell_angle_gamma 157.52
_symmetry_space_group_name_H-M 'P 1'
_symmetry_Int_Tables_number 1
loop_
_symmetry_equiv_pos_as_xyz
'x,y,z'
loop_
_atom_site_label
_atom_site_fract_x
_atom_site_fract_y
_atom_site_fract_z
_atom_site_occupancy
Ce1 0.009 0.991 0.500 1
Ce2 0.038 0.962 0.760 1
Ce3 0.158 0.842 0.287 1
Ce4 0.188 0.812 0.925 1
Ce5 0.812 0.188 0.425 1
Ce6 0.842 0.158 0.787 1
Ce7 0.962 0.038 0.260 1
Ce8 0.991 0.009 0.000 1
Zn1 0.158 0.842 0.616 1
Zn2 0.304 0.696 0.598 1
Zn3 0.338 0.662 0.255 1
Zn4 0.362 0.638 0.969 1
Zn5 0.444 0.556 0.661 1
Zn6 0.556 0.444 0.161 1
Zn7 0.638 0.362 0.469 1
Zn8 0.662 0.338 0.755 1
Zn9 0.696 0.304 0.098 1
Zn10 0.842 0.158 0.116 1
Pt1 0.116 0.884 0.095 1
Pt2 0.218 0.782 0.468 1
Pt3 0.241 0.759 0.746 1
Pt4 0.418 0.582 0.398 1
Pt5 0.427 0.573 0.120 1
Pt6 0.445 0.555 0.840 1
Pt7 0.555 0.445 0.340 1
Pt8 0.573 0.427 0.620 1
Pt9 0.582 0.418 0.898 1
Pt10 0.759 0.241 0.246 1
Pt11 0.782 0.218 0.968 1
Pt12 0.884 0.116 0.595 1
```

---

Starting from a structure optimized by DFT (GGA-PBE), the X-ray powder pattern of TbDyAsO2 was computed for Cu Ka.

Peak list (12 most intense, 2θ = 5–70°, most intense first)
2θ/deg, I (rel.)
31.4, 100.0
33.3, 36.2
58.4, 34.3
54.7, 23.1
47.9, 18.2
13.8, 10.4
24.4, 10.3
65.6, 10.2
42.1, 9.2
43.9, 6.3
55.5, 3.1
54.5, 2.4

Cell and atoms:
```
data_TbDyAsO2
_cell_length_a 3.801
_cell_length_b 3.801
_cell_length_c 12.879
_cell_angle_alpha 90.00
_cell_angle_beta 90.00
_cell_angle_gamma 90.00
_symmetry_space_group_name_H-M 'P 1'
_symmetry_Int_Tables_number 1
loop_
_symmetry_equiv_pos_as_xyz
'x,y,z'
loop_
_atom_site_label
_atom_site_fract_x
_atom_site_fract_y
_atom_site_fract_z
_atom_site_occupancy
Tb1 0.000 0.000 0.000 1
Tb2 0.500 0.500 0.500 1
Dy1 0.000 0.000 0.320 1
Dy2 0.500 0.500 0.820 1
As1 0.000 0.000 0.660 1
As2 0.500 0.500 0.160 1
O1 0.000 0.500 0.409 1
O2 0.000 0.500 0.909 1
O3 0.500 0.000 0.409 1
O4 0.500 0.000 0.909 1
```

---

Starting from a structure optimized by DFT (GGA-PBE), the X-ray powder pattern of Pa6CCl15 was computed for Cu Ka.

Peak list (12 most intense, 2θ = 5–70°, most intense first)
2θ/deg, I (rel.)
11.7, 100.0
33.4, 54.5
31.2, 48.6
48.0, 36.5
20.3, 27.9
39.4, 24.4
43.0, 21.5
28.8, 17.2
16.5, 16.3
63.8, 16.1
23.5, 15.7
69.0, 14.8

Cell and atoms:
```
data_Pa6CCl15
_cell_length_a 9.287
_cell_length_b 9.287
_cell_length_c 9.287
_cell_angle_alpha 109.47
_cell_angle_beta 109.47
_cell_angle_gamma 109.47
_symmetry_space_group_name_H-M 'P 1'
_symmetry_Int_Tables_number 1
loop_
_symmetry_equiv_pos_as_xyz
'x,y,z'
loop_
_atom_site_label
_atom_site_fract_x
_atom_site_fract_y
_atom_site_fract_z
_atom_site_occupancy
Pa1 0.000 0.232 0.232 1
Pa2 0.000 0.768 0.768 1
Pa3 0.232 0.000 0.232 1
Pa4 0.232 0.232 0.000 1
Pa5 0.768 0.000 0.768 1
Pa6 0.768 0.768 0.000 1
C1 0.000 0.000 0.000 1
Cl1 0.000 0.252 0.748 1
Cl2 0.000 0.500 0.500 1
Cl3 0.000 0.748 0.252 1
Cl4 0.252 0.000 0.748 1
Cl5 0.252 0.252 0.503 1
Cl6 0.252 0.503 0.252 1
Cl7 0.252 0.748 0.000 1
Cl8 0.497 0.748 0.748 1
Cl9 0.500 0.000 0.500 1
Cl10 0.500 0.500 0.000 1
Cl11 0.503 0.252 0.252 1
Cl12 0.748 0.000 0.252 1
Cl13 0.748 0.252 0.000 1
Cl14 0.748 0.497 0.748 1
Cl15 0.748 0.748 0.497 1
```